Simulated powder diffractogram of CePr4Ho3Se8 for Cu Kα (λ = 1.5418 Å), from a PBE-relaxed structure.
No peak broadening, texture or thermal motion is included.

Peak list (8 most intense, 5° ≤ 2θ ≤ 70°, by angle)
- d 3.461, intensity 5, (0 0 6)
- d 3.397, intensity 13, (2 0 2)
- d 2.955, intensity 100, (0 2 4)
- d 2.105, intensity 37, (2 0 8)
- d 2.075, intensity 37, (2 2 0)
- d 1.731, intensity 7, (0 0 12)
- d 1.698, intensity 19, (4 0 4)
- d 1.478, intensity 12, (0 4 8)

Atomic structure:
Lattice parameters (Å, degrees): 8.3017 8.3017 20.7676 90.00 90.00 120.00
Space group R-3m (No. 166, hexagonal axes)
One atom of each set of equivalent atoms:
1 Ce 0.0000 0.0000 0.0000 [3 per cell]
2 Pr 0.0000 0.0000 0.5000 [3 per cell]
3 Pr 0.0000 0.5000 0.5000 [9 per cell]
4 Ho 0.0000 0.5000 0.0000 [9 per cell]
5 Se 0.0000 0.0000 0.2565 [6 per cell]
6 Se 0.0056 0.5028 0.2551 [18 per cell]